1.
The following is a calculated powder X-ray diffraction pattern of BaPr3Ag4. It was derived from a crystal structure in OQMD, relaxed with GGA-PBE, using Cu Kα (λ = 1.5418 Å).
Kinematic intensities with the Lorentz-polarization factor, no thermal factor.

Structure:
abc: 6.0560 4.9553 7.6721
angles: 90.00 91.58 90.00
Space group Pm (No. 6)
Unique sites:
Ba1 0.0000 0.0000 0.0000 x1
Pr1 0.2790 0.5000 0.3685 x1
Pr2 0.5009 0.5000 0.8533 x1
Pr3 0.7703 0.0000 0.5044 x1
Ag1 0.2818 0.0000 0.6332 x1
Ag2 0.5025 0.0000 0.1508 x1
Ag3 0.7592 0.5000 0.2364 x1
Ag4 0.9972 0.5000 0.6974 x1

Most intense lines, 2θ = 5–70°, in order of rising 2θ:
2θ = 29.5°, I 100.0, (0 1 2)
2θ = 32.7°, I 48.7, (1 1 -2)
2θ = 33.3°, I 66.2, (1 1 2)
2θ = 36.3°, I 71.0, (0 2 0)
2θ = 36.4°, I 62.3, (2 1 -1)
2θ = 37.0°, I 57.7, (2 1 1)


2.
The following is a calculated powder X-ray diffraction pattern of PrSm2Te3. It was derived from a crystal structure in OQMD, relaxed with GGA-PBE, using Cu Kα (λ = 1.5418 Å).
Kinematic intensities with the Lorentz-polarization factor, no thermal factor.

Structure:
abc: 4.4720 4.4720 10.9848
angles: 90.00 90.00 120.00
Space group P-3m1 (No. 164)
Unique sites:
Pr1 0.0000 0.0000 0.0000 x1
Sm1 0.3333 0.6667 0.6665 x2
Te1 0.0000 0.0000 0.5000 x1
Te2 0.3333 0.6667 0.1718 x2

Most intense lines, 2θ = 5–70°, in order of rising 2θ:
2θ = 28.2°, I 100.0, (0 1 2)
2θ = 40.3°, I 76.4, (1 1 0)
2θ = 49.9°, I 20.5, (2 0 2)
2θ = 58.3°, I 12.8, (0 2 4)
2θ = 65.9°, I 17.5, (1 1 6)
2θ = 66.1°, I 17.6, (1 2 2)


3.
The following is a calculated powder X-ray diffraction pattern of KYIrSe3. It was derived from a crystal structure in OQMD, relaxed with GGA-PBE, using Cu Kα (λ = 1.5418 Å).
Kinematic intensities with the Lorentz-polarization factor, no thermal factor.

Structure:
abc: 3.9865 15.9802 10.2791
angles: 90.00 90.00 90.00
Space group Cmcm (No. 63)
Unique sites:
K1 0.0000 0.2450 0.2500 x4
Y1 0.0000 0.0000 0.0000 x4
Ir1 0.0000 0.4972 0.7500 x4
Se1 0.0000 0.0902 0.7500 x4
Se2 0.0000 0.3834 0.5860 x8

Most intense lines, 2θ = 5–70°, in order of rising 2θ:
2θ = 11.1°, I 100.0, (0 2 0)
2θ = 28.3°, I 20.8, (0 2 3)
2θ = 29.3°, I 19.8, (1 3 1)
2θ = 33.0°, I 42.2, (1 3 2)
2θ = 40.2°, I 37.0, (1 5 2)
2θ = 49.3°, I 13.8, (1 7 2)


4.
The following is a calculated powder X-ray diffraction pattern of FePt3N6. It was derived from a crystal structure in OQMD, relaxed with GGA-PBE, using Cu Kα (λ = 1.5418 Å).
Kinematic intensities with the Lorentz-polarization factor, no thermal factor.

Structure:
abc: 7.0494 10.3184 3.0882
angles: 90.00 90.00 90.00
Space group Cmmm (No. 65)
Unique sites:
Fe1 0.0000 0.0000 0.0000 x2
Pt1 0.0000 0.5000 0.0000 x2
Pt2 0.2500 0.2500 0.5000 x4
N1 0.0000 0.1292 0.5000 x4
N2 0.1887 0.3645 0.0000 x8

Most intense lines, 2θ = 5–70°, in order of rising 2θ:
2θ = 30.7°, I 100.0, (2 2 0)
2θ = 33.8°, I 75.3, (0 2 1)
2θ = 34.8°, I 27.2, (0 4 0)
2θ = 38.8°, I 43.0, (2 0 1)
2θ = 53.1°, I 50.6, (2 4 1)
2θ = 63.4°, I 25.4, (4 2 1)


5.
The following is a calculated powder X-ray diffraction pattern of AgBi2BrO3. It was derived from a crystal structure in OQMD, relaxed with GGA-PBE, using Cu Kα (λ = 1.5418 Å).
Kinematic intensities with the Lorentz-polarization factor, no thermal factor.

Structure:
abc: 7.5822 3.6808 9.9491
angles: 90.00 98.86 90.00
Space group P2_1/m (No. 11)
Unique sites:
Ag1 0.1361 0.2500 0.4834 x2
Bi1 0.1116 0.2500 0.8248 x2
Bi2 0.4888 0.2500 0.3415 x2
Br1 0.2784 0.7500 0.0712 x2
O1 0.0039 0.7500 0.7225 x2
O2 0.3129 0.2500 0.6886 x2
O3 0.3679 0.7500 0.4511 x2

Most intense lines, 2θ = 5–70°, in order of rising 2θ:
2θ = 24.1°, I 58.7, (2 0 -1)
2θ = 28.0°, I 45.5, (1 0 -3)
2θ = 29.1°, I 84.5, (1 1 1)
2θ = 30.3°, I 100.0, (0 1 2)
2θ = 31.4°, I 81.3, (1 0 3)
2θ = 41.7°, I 45.1, (2 1 -3)


6.
The following is a calculated powder X-ray diffraction pattern of HgSeO4. It was derived from a crystal structure in OQMD, relaxed with GGA-PBE, using Cu Kα (λ = 1.5418 Å).
Kinematic intensities with the Lorentz-polarization factor, no thermal factor.

Structure:
abc: 4.9669 4.8709 8.4040
angles: 90.00 125.99 90.00
Space group Pc (No. 7)
Unique sites:
Hg1 0.0000 0.1716 0.0000 x2
Se1 0.4881 0.3325 0.5015 x2
O1 0.1407 0.1856 0.3089 x2
O2 0.4379 0.3284 0.0033 x2
O3 0.5233 0.1831 0.6935 x2
O4 0.8217 0.2913 0.5019 x2

Most intense lines, 2θ = 5–70°, in order of rising 2θ:
2θ = 25.6°, I 100.0, (1 1 -1)
2θ = 26.2°, I 68.6, (0 0 2)
2θ = 28.8°, I 48.8, (1 1 -2)
2θ = 36.9°, I 44.8, (1 1 1)
2θ = 37.0°, I 31.9, (1 1 -3)
2θ = 39.3°, I 28.0, (0 2 1)


7.
The following is a calculated powder X-ray diffraction pattern of SmTlP2Se6. It was derived from a crystal structure in OQMD, relaxed with GGA-PBE, using Cu Kα (λ = 1.5418 Å).
Kinematic intensities with the Lorentz-polarization factor, no thermal factor.

Structure:
abc: 6.9020 7.7315 10.4033
angles: 90.00 91.16 90.00
Space group P2_1 (No. 4)
Unique sites:
Sm1 0.2148 0.0000 0.0025 x2
Tl1 0.3117 0.7807 0.5069 x2
P1 0.1924 0.2736 0.2947 x2
P2 0.3132 0.4913 0.1738 x2
Se1 0.0674 0.6941 0.8261 x2
Se2 0.0770 0.6891 0.1714 x2
Se3 0.1556 0.3667 0.4882 x2
Se4 0.3667 0.3686 0.9813 x2
Se5 0.4023 0.0639 0.2688 x2
Se6 0.4110 0.0869 0.7446 x2

Most intense lines, 2θ = 5–70°, in order of rising 2θ:
2θ = 24.6°, I 100.0, (0 2 1)
2θ = 28.8°, I 98.4, (0 2 2)
2θ = 29.8°, I 83.6, (2 1 1)
2θ = 30.8°, I 97.1, (2 0 -2)
2θ = 31.4°, I 76.8, (2 0 2)
2θ = 34.8°, I 79.3, (0 2 3)


8.
The following is a calculated powder X-ray diffraction pattern of PrTmSi2Mo2C. It was derived from a crystal structure in OQMD, relaxed with GGA-PBE, using Cu Kα (λ = 1.5418 Å).
Kinematic intensities with the Lorentz-polarization factor, no thermal factor.

Structure:
abc: 11.1953 3.8640 7.2392
angles: 90.00 125.87 90.00
Space group Cm (No. 8)
Unique sites:
Pr1 0.0000 0.0000 0.0000 x2
Tm1 0.3498 0.5000 0.4057 x2
Si1 0.0549 0.5000 0.3697 x2
Si2 0.2901 0.0000 0.0332 x2
Mo1 0.1273 0.5000 0.7780 x2
Mo2 0.2155 0.0000 0.6138 x2
C1 0.4181 0.0000 0.6844 x2

Most intense lines, 2θ = 5–70°, in order of rising 2θ:
2θ = 31.2°, I 44.4, (2 0 1)
2θ = 33.0°, I 25.6, (4 0 -1)
2θ = 33.4°, I 89.2, (3 1 -1)
2θ = 34.9°, I 100.0, (1 1 -2)
2θ = 39.5°, I 29.9, (4 0 -3)
2θ = 47.0°, I 25.4, (0 2 0)


9.
The following is a calculated powder X-ray diffraction pattern of Ta2BW. It was derived from a crystal structure in OQMD, relaxed with GGA-PBE, using Cu Kα (λ = 1.5418 Å).
Kinematic intensities with the Lorentz-polarization factor, no thermal factor.

Structure:
abc: 6.2086 6.2086 6.2086
angles: 90.00 90.00 90.00
Space group F-43m (No. 216)
Unique sites:
Ta1 0.0000 0.0000 0.0000 x4
Ta2 0.2500 0.2500 0.2500 x4
B1 0.0000 0.0000 0.5000 x4
W1 0.2500 0.2500 0.7500 x4

Most intense lines, 2θ = 5–70°, in order of rising 2θ:
2θ = 24.8°, I 23.9, (1 1 1)
2θ = 28.8°, I 12.9, (2 0 0)
2θ = 41.1°, I 100.0, (2 2 0)
2θ = 48.6°, I 12.3, (3 1 1)
2θ = 59.6°, I 17.0, (4 0 0)
2θ = 65.5°, I 5.1, (3 3 1)


10.
The following is a calculated powder X-ray diffraction pattern of Pr2NdGe3PdPt2. It was derived from a crystal structure in OQMD, relaxed with GGA-PBE, using Cu Kα (λ = 1.5418 Å).
Kinematic intensities with the Lorentz-polarization factor, no thermal factor.

Structure:
abc: 4.0414 12.8545 7.4267
angles: 90.00 90.00 90.00
Space group Amm2 (No. 38)
Unique sites:
Pr1 0.0000 0.2049 0.0000 x4
Nd1 0.0000 0.0000 0.6143 x2
Ge1 0.5000 0.0000 0.9572 x2
Ge2 0.5000 0.1232 0.3293 x4
Pd1 0.0000 0.0000 0.2066 x2
Pt1 0.5000 0.1654 0.7044 x4

Most intense lines, 2θ = 5–70°, in order of rising 2θ:
2θ = 32.8°, I 100.0, (1 3 1)
2θ = 35.7°, I 97.7, (1 4 0)
2θ = 37.0°, I 35.2, (0 1 3)
2θ = 42.2°, I 41.3, (0 3 3)
2θ = 43.5°, I 31.9, (1 4 2)
2θ = 67.6°, I 27.9, (1 7 3)


11.
The following is a calculated powder X-ray diffraction pattern of Mg3Au4. It was derived from a crystal structure in OQMD, relaxed with GGA-PBE, using Cu Kα (λ = 1.5418 Å).
Kinematic intensities with the Lorentz-polarization factor, no thermal factor.

Structure:
abc: 12.3479 12.3479 5.6561
angles: 90.00 90.00 120.00
Space group R-3 (No. 148, hexagonal axes)
Unique sites:
Mg1 0.0473 0.2278 0.1955 x18
Au1 0.0000 0.0000 0.0000 x3
Au2 0.0000 0.0000 0.5000 x3
Au3 0.0516 0.2547 0.6868 x18

Most intense lines, 2θ = 5–70°, in order of rising 2θ:
2θ = 27.1°, I 94.7, (2 1 1)
2θ = 38.6°, I 98.9, (1 4 0)
2θ = 38.9°, I 100.0, (3 -2 2)
2θ = 47.8°, I 18.2, (6 -4 1)
2θ = 55.9°, I 32.6, (4 2 2)
2θ = 70.0°, I 29.7, (0 7 2)


12.
The following is a calculated powder X-ray diffraction pattern of K2Na3Pt3N3. It was derived from a crystal structure in OQMD, relaxed with GGA-PBE, using Cu Kα (λ = 1.5418 Å).
Kinematic intensities with the Lorentz-polarization factor, no thermal factor.

Structure:
abc: 8.5655 8.5655 3.7612
angles: 90.00 90.00 120.00
Space group P-62m (No. 189)
Unique sites:
K1 0.3333 0.6667 0.0000 x2
Na1 0.0000 0.2354 0.0000 x3
Pt1 0.0000 0.6743 0.5000 x3
N1 0.0000 0.6722 0.0000 x3

Most intense lines, 2θ = 5–70°, in order of rising 2θ:
2θ = 20.7°, I 100.0, (1 1 0)
2θ = 31.7°, I 84.8, (1 1 1)
2θ = 36.3°, I 40.2, (3 0 0)
2θ = 43.8°, I 19.3, (3 0 1)
2θ = 48.9°, I 21.3, (2 2 1)
2θ = 62.5°, I 24.0, (4 1 1)